# Rb2LiPuCl4O2
Simulated PXRD pattern, Cu Kα X-rays. Input: a crystal structure in the Materials Project, relaxed with GGA-PBE.

Crystal structure
```
10
Lattice="6.404 0.000 0.000 0.453 6.884 0.000 1.894 2.375 6.282" Properties=species:S:1:pos:R:3 pbc="T T T"
Rb 0.000 0.000 0.000
Rb 2.852 3.184 0.866
Li 4.930 1.595 4.130
Pu 2.707 6.152 3.560
Cl 4.155 3.829 4.128
Cl 3.791 6.708 1.067
Cl 7.880 5.778 5.978
Cl 7.033 1.493 3.107
O 1.506 5.138 2.667
O 3.958 7.207 4.444
```

The 12 most intense peaks (2θ = 10–80°), low angle first:
| 2θ/deg | I_rel |
| --- | --- |
| 13.75 | 406 |
| 14.38 | 1000 |
| 15.85 | 399 |
| 17.27 | 447 |
| 20.30 | 599 |
| 24.83 | 383 |
| 26.26 | 442 |
| 26.89 | 608 |
| 28.42 | 336 |
| 28.67 | 324 |
| 30.89 | 295 |
| 35.36 | 366 |

=====

# BaSrCe2O6
Simulated PXRD pattern, Cu Kα X-rays. Input: a crystal structure in the Materials Project, relaxed with GGA-PBE.

Crystal structure
```
10
Lattice="4.354 -4.410 0.000 4.354 4.410 0.000 0.000 0.000 4.481" Properties=species:S:1:pos:R:3 pbc="T T T"
Ba 0.000 0.000 0.000
Sr 4.354 0.000 0.000
Ce 2.177 2.205 2.241
Ce 2.177 -2.205 2.241
O 2.177 2.205 0.000
O 4.354 2.744 2.241
O 2.754 0.000 2.241
O 2.177 -2.205 0.000
O 5.954 0.000 2.241
O 4.354 -2.744 2.241
```

The 12 most intense peaks (2θ = 10–80°), low angle first:
| 2θ/deg | I_rel |
| --- | --- |
| 28.39 | 909 |
| 28.58 | 887 |
| 28.81 | 1000 |
| 40.25 | 304 |
| 40.93 | 260 |
| 41.48 | 247 |
| 50.25 | 428 |
| 50.68 | 419 |
| 51.03 | 419 |
| 58.75 | 172 |
| 59.17 | 166 |
| 66.08 | 172 |

=====

# MgNiH2
Simulated PXRD pattern, Cu Kα X-rays. Input: a crystal structure in the Materials Project, relaxed with GGA-PBE.

Crystal structure
```
4
Lattice="3.324 0.000 0.000 0.000 3.324 0.000 0.000 0.000 3.073" Properties=species:S:1:pos:R:3 pbc="T T T"
Mg 0.000 0.000 0.000
Ni 1.662 1.662 1.536
H 0.000 1.662 1.536
H 1.662 0.000 1.536
```

The 12 most intense peaks (2θ = 10–80°), low angle first:
| 2θ/deg | I_rel |
| --- | --- |
| 26.82 | 279 |
| 29.06 | 134 |
| 38.29 | 533 |
| 39.96 | 1000 |
| 48.78 | 92 |
| 55.27 | 190 |
| 60.24 | 72 |
| 62.47 | 45 |
| 63.65 | 45 |
| 67.12 | 36 |
| 70.35 | 335 |
| 73.66 | 141 |

=====

# Li2AsPCO7
Simulated PXRD pattern, Cu Kα X-rays. Input: a crystal structure in the Materials Project, relaxed with GGA-PBE.

Crystal structure
```
24
Lattice="5.097 0.000 0.000 0.000 6.542 0.000 -0.613 0.000 8.922" Properties=species:S:1:pos:R:3 pbc="T T T"
Li 1.083 0.276 2.066
Li 1.083 2.995 2.066
Li 3.401 3.547 6.856
Li 3.401 6.266 6.856
As 0.519 1.635 5.772
As 3.966 4.906 3.150
P 0.924 4.906 5.393
P 3.560 1.635 3.529
C 0.834 1.635 8.301
C 3.651 4.906 0.622
O -0.275 1.635 7.486
O 0.177 3.683 5.994
O 0.177 6.130 5.994
O 0.706 4.906 3.808
O 1.272 1.635 0.617
O 2.065 1.635 3.261
O 1.951 1.635 7.661
O 2.534 4.906 1.262
O 2.420 4.906 5.662
O 3.213 4.906 8.305
O 3.778 1.635 5.114
O 4.308 0.412 2.929
O 4.308 2.859 2.929
O 4.760 4.906 1.436
```

The 12 most intense peaks (2θ = 10–80°), low angle first:
| 2θ/deg | I_rel |
| --- | --- |
| 16.81 | 484 |
| 19.49 | 896 |
| 22.14 | 357 |
| 23.81 | 373 |
| 25.64 | 218 |
| 27.26 | 1000 |
| 27.48 | 488 |
| 29.10 | 349 |
| 30.05 | 258 |
| 37.43 | 227 |
| 40.44 | 231 |
| 49.46 | 230 |